For BeGa2Mo2, a PBE-relaxed structure gives the computed X-ray diffraction stick pattern in this record (copper Kα).

Cell and atoms:
abc: 6.0716 6.0716 4.1406
angles: 90.00 90.00 90.00
Sites, in units of the cell vectors:
Be 0.0000 0.0000 0.0000
Be 0.5000 0.5000 0.0000
Ga 0.1583 0.3417 0.5000
Ga 0.3417 0.8417 0.5000
Ga 0.6583 0.1583 0.5000
Ga 0.8417 0.6583 0.5000
Mo 0.1547 0.6547 0.0000
Mo 0.3453 0.1547 0.0000
Mo 0.6547 0.8453 0.0000
Mo 0.8453 0.3453 0.0000

Largest 10 diffraction maxima, in order of rising 2θ, 10 to 90 degrees two-theta:
Position (°2θ), Rel. int.
20.69, 19
29.42, 13
39.70, 100
43.72, 17
47.35, 16
65.19, 8
66.41, 11
67.51, 12
77.60, 13
81.82, 9

For TaSO, a PBE-relaxed structure gives the computed X-ray diffraction stick pattern in this record (copper Kα).

Cell and atoms:
abc: 6.9026 6.4392 5.5228
angles: 90.00 105.87 90.00
Sites, in units of the cell vectors:
Ta 0.0111 0.1243 0.2801
Ta 0.0111 0.3757 0.7801
Ta 0.9889 0.6243 0.2199
Ta 0.9889 0.8757 0.7199
S 0.2613 0.1077 0.6838
S 0.2613 0.3923 0.1838
S 0.7387 0.6077 0.8162
S 0.7387 0.8923 0.3162
O 0.1289 0.6289 0.6340
O 0.1289 0.8711 0.1340
O 0.8711 0.1289 0.8660
O 0.8711 0.3711 0.3660

Largest 10 diffraction maxima, in order of rising 2θ, 10 to 90 degrees two-theta:
Position (°2θ), Rel. int.
13.34, 100
26.86, 11
32.52, 12
33.42, 23
33.74, 11
37.09, 15
39.45, 19
39.84, 8
45.69, 10
49.02, 7

For Pm2Ge2Te5, a PBE-relaxed structure gives the computed X-ray diffraction stick pattern in this record (copper Kα).

Cell and atoms:
abc: 11.0494 11.0494 11.0494
angles: 61.45 138.03 137.27
Sites, in units of the cell vectors:
Pm 0.0239 0.1032 0.1271
Pm 0.0239 0.3968 0.4207
Pm 0.9761 0.6032 0.5793
Pm 0.9761 0.8968 0.8729
Ge 0.4563 0.4563 0.0000
Ge 0.4563 0.9563 0.5000
Ge 0.5512 0.8218 0.2293
Ge 0.5925 0.3218 0.7707
Te 0.1085 0.7124 0.8960
Te 0.2442 0.0160 0.5233
Te 0.2442 0.2209 0.7282
Te 0.4914 0.1909 0.2368
Te 0.4914 0.7546 0.8004
Te 0.4927 0.5160 0.2718
Te 0.4927 0.7209 0.4767
Te 0.8164 0.2124 0.1040
Te 0.9542 0.2546 0.7632
Te 0.9542 0.6909 0.1996

Largest 10 diffraction maxima, in order of rising 2θ, 10 to 90 degrees two-theta:
Position (°2θ), Rel. int.
24.50, 69
25.51, 60
26.01, 100
28.59, 57
31.71, 86
32.42, 79
33.11, 63
36.09, 36
40.25, 39
40.69, 86

For Li2PdCl4, a PBE-relaxed structure gives the computed X-ray diffraction stick pattern in this record (copper Kα).

Cell and atoms:
abc: 9.3296 9.3296 6.8487
angles: 90.00 90.00 90.00
Sites, in units of the cell vectors:
Li 0.0461 0.5461 0.2500
Li 0.0461 0.9539 0.7500
Li 0.4539 0.5461 0.7500
Li 0.4539 0.9539 0.2500
Li 0.5461 0.0461 0.7500
Li 0.5461 0.4539 0.2500
Li 0.9539 0.0461 0.2500
Li 0.9539 0.4539 0.7500
Pd 0.2500 0.2500 0.0564
Pd 0.2500 0.2500 0.5564
Pd 0.7500 0.7500 0.4436
Pd 0.7500 0.7500 0.9436
Cl 0.0088 0.1836 0.5634
Cl 0.0088 0.3164 0.0634
Cl 0.1836 0.0088 0.0634
Cl 0.1836 0.4912 0.5634
Cl 0.3164 0.0088 0.5634
Cl 0.3164 0.4912 0.0634
Cl 0.4912 0.1836 0.0634
Cl 0.4912 0.3164 0.5634
Cl 0.5088 0.6836 0.4366
Cl 0.5088 0.8164 0.9366
Cl 0.6836 0.5088 0.9366
Cl 0.6836 0.9912 0.4366
Cl 0.8164 0.5088 0.4366
Cl 0.8164 0.9912 0.9366
Cl 0.9912 0.6836 0.9366
Cl 0.9912 0.8164 0.4366

Largest 10 diffraction maxima, in order of rising 2θ, 10 to 90 degrees two-theta:
Position (°2θ), Rel. int.
13.42, 100
19.03, 19
26.02, 24
27.75, 40
29.39, 18
30.29, 22
33.06, 27
38.60, 17
43.37, 19
48.20, 15